This entry pairs a crystal structure of YAl11Pd with its calculated powder X-ray diffraction pattern. Radiation: Cu Ka. Structure: DFT lattice parameters and positions (GGA-PBE).
Peak positions follow from Bragg's law for the DFT cell and can differ from measured ones.

Top 6 peaks for 2θ = 10–90°, sorted by position:
- 14.0 deg, I = 69
- 28.1 deg, I = 65
- 33.2 deg, I = 69
- 38.8 deg, I = 100
- 39.1 deg, I = 69
- 40.1 deg, I = 67

Structure:
Cell lengths 6.850, 6.850, 7.219 Å; angles 97.05, 97.05, 135.15 degrees
Atoms (fractional coordinates):
Y (0.000, 0.000, 0.000)
Al (0.000, 0.000, 0.500)
Al (0.000, 0.500, 0.000)
Al (0.007, 0.653, 0.645)
Al (0.285, 0.501, 0.778)
Al (0.347, 0.993, 0.355)
Al (0.499, 0.715, 0.222)
Al (0.500, 0.000, 0.000)
Al (0.501, 0.285, 0.778)
Al (0.653, 0.007, 0.645)
Al (0.715, 0.499, 0.222)
Al (0.993, 0.347, 0.355)
Pd (0.500, 0.500, 0.500)